The following is a theoretical powder X-ray diffraction pattern of Ba3Mg2Tl4Zn2. It was derived from a DFT-relaxed cell (PBE, Alexandria), using Cu Kα X-rays.

Principal peaks in the range 10 to 80 degrees two-theta, in order of rising 2θ:
2θ 22.87, I 83, hkl 0 1 2
2θ 26.39, I 25, hkl 0 1 3
2θ 30.69, I 91, hkl 0 1 4
2θ 34.35, I 100, hkl 1 1 0
2θ 40.76, I 27, hkl 1 0 6
2θ 41.67, I 18, hkl 2 0 2
2θ 46.72, I 29, hkl 2 0 4
2θ 59.26, I 28, hkl 1 2 4
2θ 60.14, I 18, hkl 1 1 8
2θ 61.52, I 19, hkl 3 0 0

Cell and atoms:
```
data_Ba3Mg2Tl4Zn2
_chemical_formula_sum 'Ba3 Mg2 Tl4 Zn2'
_cell_length_a 5.2214
_cell_length_b 5.2214
_cell_length_c 15.2347
_cell_angle_alpha 90.00
_cell_angle_beta 90.00
_cell_angle_gamma 120.00
_space_group_name_H-M_alt 'P -3 m 1'
_space_group_IT_number 164
_space_group_name_Hall '-P 3 2"'
loop_
_atom_site_label
_atom_site_type_symbol
_atom_site_fract_x
_atom_site_fract_y
_atom_site_fract_z
_atom_site_occupancy
Ba1 Ba 0.0000 0.0000 0.0000 1
Ba2 Ba 0.0000 0.0000 0.2703 1
Mg1 Mg 0.3333 0.6667 0.5651 1
Tl1 Tl 0.3333 0.6667 0.3748 1
Tl2 Tl 0.3333 0.6667 0.8595 1
Zn1 Zn 0.3333 0.6667 0.1532 1
```


The following is a theoretical powder X-ray diffraction pattern of BaTm4Mg5. It was derived from a DFT-relaxed cell (PBE, Alexandria), using Cu Kα X-rays.

Principal peaks in the range 10 to 80 degrees two-theta, in order of rising 2θ:
2θ 22.16, I 36, hkl 0 0 5
2θ 23.47, I 84, hkl 1 0 0
2θ 32.50, I 100, hkl 1 0 5
2θ 33.43, I 66, hkl 1 1 0
2θ 35.82, I 31, hkl 1 0 6
2θ 40.48, I 33, hkl 1 1 5
2θ 48.00, I 24, hkl 2 0 0
2θ 53.47, I 18, hkl 2 0 5
2θ 54.10, I 18, hkl 2 1 0
2θ 59.17, I 36, hkl 2 1 5

Cell and atoms:
```
data_BaTm4Mg5
_chemical_formula_sum 'Ba1 Tm4 Mg5'
_cell_length_a 3.791
_cell_length_b 3.791
_cell_length_c 20.053
_cell_angle_alpha 90.00
_cell_angle_beta 90.00
_cell_angle_gamma 90.00
_space_group_name_H-M_alt 'P 4/m m m'
_space_group_IT_number 123
_space_group_name_Hall '-P 4 2'
loop_
_atom_site_label
_atom_site_type_symbol
_atom_site_fract_x
_atom_site_fract_y
_atom_site_fract_z
_atom_site_occupancy
Ba1 Ba 0.000 0.000 0.000 1
Tm1 Tm 0.000 0.000 0.227 1
Tm2 Tm 0.000 0.000 0.408 1
Mg1 Mg 0.500 0.500 0.131 1
Mg2 Mg 0.500 0.500 0.316 1
Mg3 Mg 0.500 0.500 0.500 1
```